Entry 1:
CaLaFeSbO6: theoretical powder XRD pattern (copper Kα), based on the PBE+U geometry in the Materials Project.

Peak list (10 most intense, 2θ = 10–90°, low angle first)
2θ (°), I/Imax
19.0, 42
19.3, 25
31.2, 95
31.4, 100
31.6, 48
31.9, 45
44.7, 29
44.9, 25
55.5, 25
56.2, 24

```
data_CaLaFeSbO6
_symmetry_space_group_name_H-M 'P 1'
_symmetry_Int_Tables_number 1
_symmetry_space_group_name_Hall 'P 1'
_cell_length_a 7.9743
_cell_length_b 8.0708
_cell_length_c 8.1021
_cell_angle_alpha 90.22
_cell_angle_beta 90.37
_cell_angle_gamma 91.11
loop_
_atom_site_label
_atom_site_type_symbol
_atom_site_fract_x
_atom_site_fract_y
_atom_site_fract_z
Ca1 Ca 0.0000 0.0000 0.0000
Ca2 Ca 0.0528 0.4499 0.4998
Ca3 Ca 0.4980 0.4984 0.9982
Ca4 Ca 0.5559 0.9474 0.5003
La1 La 0.0141 0.5125 0.9938
La2 La 0.0671 0.9655 0.4956
La3 La 0.5176 0.0089 0.9941
La4 La 0.5661 0.4651 0.4936
Fe1 Fe 0.2847 0.2324 0.7466
Fe2 Fe 0.2849 0.7312 0.2488
Fe3 Fe 0.7851 0.2323 0.2473
Fe4 Fe 0.7850 0.7320 0.7487
Sb1 Sb 0.2836 0.2328 0.2456
Sb2 Sb 0.2856 0.7303 0.7460
Sb3 Sb 0.7839 0.7333 0.2463
Sb4 Sb 0.7854 0.2301 0.7456
O1 O 0.0273 0.7773 0.1934
O2 O 0.0289 0.1891 0.6922
O3 O 0.0389 0.1903 0.2960
O4 O 0.0437 0.7819 0.8011
O5 O 0.2160 0.6962 0.5090
O6 O 0.2392 0.4907 0.7967
O7 O 0.2398 0.4726 0.1908
O8 O 0.2493 0.1635 0.0089
O9 O 0.3143 0.2995 0.4837
O10 O 0.3316 0.9929 0.3031
O11 O 0.3340 0.9707 0.6956
O12 O 0.3521 0.7603 0.9849
O13 O 0.5278 0.6834 0.6934
O14 O 0.5291 0.2779 0.1964
O15 O 0.5411 0.6915 0.2995
O16 O 0.5419 0.2754 0.8016
O17 O 0.7177 0.1945 0.5086
O18 O 0.7405 0.9712 0.1891
O19 O 0.7450 0.9896 0.7975
O20 O 0.7464 0.6629 0.0094
O21 O 0.8165 0.8008 0.4850
O22 O 0.8287 0.4718 0.6951
O23 O 0.8314 0.4954 0.3055
O24 O 0.8503 0.2625 0.9841
```



Entry 2:
VAg3O4: theoretical powder XRD pattern (copper Kα), based on the PBE+U geometry in the Materials Project.

Peak list (10 most intense, 2θ = 10–90°, low angle first)
2θ (°), I/Imax
30.7, 100
35.4, 24
36.1, 11
51.0, 13
51.5, 26
60.7, 25
61.6, 12
64.0, 9
83.1, 5
83.9, 11

```
data_VAg3O4
_symmetry_space_group_name_H-M 'P 1'
_symmetry_Int_Tables_number 1
_symmetry_space_group_name_Hall 'P 1'
_cell_length_a 6.1337
_cell_length_b 6.1337
_cell_length_c 6.1337
_cell_angle_alpha 131.19
_cell_angle_beta 131.19
_cell_angle_gamma 71.52
loop_
_atom_site_label
_atom_site_type_symbol
_atom_site_fract_x
_atom_site_fract_y
_atom_site_fract_z
V1 V 0.0000 0.0000 0.0000
Ag1 Ag 0.2500 0.7500 0.5000
Ag2 Ag 0.5000 0.5000 0.0000
Ag3 Ag 0.7500 0.2500 0.5000
O1 O 0.0990 0.0990 0.4018
O2 O 0.3029 0.9010 0.0000
O3 O 0.6971 0.6971 0.5982
O4 O 0.9010 0.3029 0.0000
```



Entry 3:
LiVBO3: theoretical powder XRD pattern (copper Kα), based on the PBE+U geometry in the Materials Project.

Peak list (10 most intense, 2θ = 10–90°, low angle first)
2θ (°), I/Imax
21.2, 57
21.9, 100
22.1, 27
32.5, 83
37.3, 18
39.1, 44
39.5, 53
42.8, 21
47.5, 24
53.5, 15

```
data_LiVBO3
_symmetry_space_group_name_H-M 'P 1'
_symmetry_Int_Tables_number 1
_symmetry_space_group_name_Hall 'P 1'
_cell_length_a 4.6214
_cell_length_b 5.2631
_cell_length_c 6.1130
_cell_angle_alpha 97.03
_cell_angle_beta 108.95
_cell_angle_gamma 114.60
loop_
_atom_site_label
_atom_site_type_symbol
_atom_site_fract_x
_atom_site_fract_y
_atom_site_fract_z
Li1 Li 0.0573 0.1264 0.3374
Li2 Li 0.9427 0.8736 0.6626
V1 V 0.2995 0.7429 0.2510
V2 V 0.7005 0.2571 0.7490
B1 B 0.2930 0.5983 0.7435
B2 B 0.7070 0.4017 0.2565
O1 O 0.1334 0.6926 0.8679
O2 O 0.2197 0.3056 0.7060
O3 O 0.4795 0.7861 0.6402
O4 O 0.5205 0.2139 0.3598
O5 O 0.7803 0.6944 0.2940
O6 O 0.8666 0.3074 0.1321
```